Computed XRD peak list of CaNdMn2O6 for Cu Ka, from a cell relaxed with GGA+U.
Neutral-atom scattering factors, no anomalous dispersion.

Structural model:
```
CaNdMn2O6
1.0
7.6723 0.0000 0.0000
0.0000 5.4528 0.0000
0.0000 0.0000 5.5384
Ca Nd Mn O
2 2 4 12
Direct
0.0000 0.2402 0.0000
0.0000 0.7598 0.5000
0.5000 0.2593 0.9105
0.5000 0.7407 0.4105
0.2435 0.2486 0.4552
0.2435 0.7514 0.9552
0.7565 0.2486 0.4552
0.7565 0.7514 0.9552
0.0000 0.3343 0.4278
0.0000 0.6657 0.9278
0.2122 0.0439 0.7493
0.2122 0.9561 0.2493
0.2956 0.4664 0.1711
0.2956 0.5336 0.6711
0.5000 0.1743 0.4700
0.5000 0.8257 0.9700
0.7044 0.4664 0.1711
0.7044 0.5336 0.6711
0.7878 0.0439 0.7493
0.7878 0.9561 0.2493
```

Principal peaks in the range 2θ from 15° to 90°, by angle:
25.70 deg, rel. 287
32.33 deg, rel. 196
32.82 deg, rel. 1000
46.76 deg, rel. 243
47.40 deg, rel. 132
53.77 deg, rel. 81
57.96 deg, rel. 120
58.60 deg, rel. 267
58.87 deg, rel. 86
68.80 deg, rel. 149